Theoretical powder X-ray diffraction pattern
Compound: LiFeF4
Radiation: Cu Kα (weighted mean of Kα1 and Kα2)
Structure: a cell relaxed with PBE+U
Lines closer than 0.1° are merged.

Atomic structure:
```
24
Lattice="-5.032 5.032 3.016 5.032 -5.032 3.016 5.032 5.032 -3.016" Properties=species:S:1:pos:R:3 pbc="T T T"
Li 0.448 2.516 0.754
Li -2.516 4.584 2.262
Li -0.448 7.549 0.754
Li 2.516 5.480 2.262
Fe 2.516 4.506 -0.754
Fe 5.559 2.516 0.754
Fe 2.516 0.527 2.262
Fe -0.527 2.516 3.769
F 8.327 -0.889 0.543
F 5.921 1.738 -0.965
F 4.143 -3.294 2.473
F 3.387 -0.963 1.298
F 5.995 -1.645 1.718
F 1.738 0.889 0.543
F 4.070 3.387 -0.210
F 6.678 0.963 1.298
F 1.645 -0.963 3.226
F 4.070 1.645 1.718
F 1.738 4.143 0.965
F 0.963 1.645 2.805
F 3.387 5.995 0.210
F -0.889 3.294 2.051
F 5.921 3.294 2.473
F 3.294 0.889 3.981
```

The 10 most intense peaks (5° ≤ 2θ ≤ 70°), in order of rising 2θ:
d_spacing  I (rel.)
5.173  788
3.607  1000
3.558  799
3.183  302
2.587  151
1.909  441
1.836  293
1.804  209
1.726  153
1.552  161